# YSi2OsPd
Computed powder diffractogram, CuKα. Input: a structure optimized by DFT (PBE).

Cell and atoms:
```
YSi2OsPd
1.0
-2.041 2.041 5.027
2.041 -2.041 5.027
2.041 2.041 -5.027
Y Si Os Pd
1 2 1 1
Cartesian
0.000 0.000 0.000
0.000 0.000 3.823
0.000 0.000 6.231
0.000 2.041 2.514
2.041 0.000 2.514
```

Top 10 peaks for 15° ≤ 2θ ≤ 90°, in order of rising 2θ:
| 2θ/deg | I/Imax |
| --- | --- |
| 17.6 | 37.7 |
| 23.5 | 15.7 |
| 34.6 | 16.1 |
| 35.7 | 18.0 |
| 35.9 | 100.0 |
| 44.4 | 35.4 |
| 48.0 | 19.7 |
| 58.2 | 17.6 |
| 64.3 | 16.7 |
| 76.1 | 30.0 |